CoP2O7: computed PXRD pattern (Cu Ka), based on DFT lattice parameters and positions (GGA+U).

Largest 10 diffraction maxima, in order of falling intensity, 2θ from 10° to 90°:
d (Å)	2θ (°)	intensity	h k l
8.345	10.6	100	0 1 1
5.083	17.4	61	1 0 1
3.937	22.6	57	1 2 2
4.754	18.7	51	0 0 2
4.175	21.3	40	0 2 2
5.288	16.8	36	1 0 -1
4.404	20.2	29	1 -1 0
2.592	34.6	25	2 2 -1
3.055	29.2	24	0 3 2
4.380	20.3	24	1 2 1

```
data_CoP2O7
_chemical_formula_sum 'Co4 P8 O28'
_space_group_name_H-M_alt 'P 1'
_space_group_IT_number 1
_cell_length_a 6.4734
_cell_length_b 9.7087
_cell_length_c 10.6419
_cell_angle_alpha 63.41
_cell_angle_beta 84.56
_cell_angle_gamma 72.90
loop_
_space_group_symop_operation_xyz
'x,y,z'
loop_
_atom_site_label
_atom_site_fract_x
_atom_site_fract_y
_atom_site_fract_z
_atom_site_occupancy
Co1 0.0000 0.0000 0.0000 1
Co2 0.0961 0.4010 0.9725 1
Co3 0.6480 0.5944 0.5280 1
Co4 0.7477 0.9948 0.5028 1
P1 0.0689 0.3050 0.7172 1
P2 0.2643 0.9452 0.4514 1
P3 0.2934 0.6846 0.9571 1
P4 0.4517 0.3098 0.5443 1
P5 0.4833 0.0505 0.0510 1
P6 0.6750 0.6894 0.7841 1
P7 0.7901 0.8123 0.2921 1
P8 0.9574 0.1840 0.2104 1
O1 0.0087 0.3458 0.1644 1
O2 0.0685 0.9539 0.5428 1
O3 0.0936 0.8190 0.9468 1
O4 0.1143 0.3903 0.7988 1
O5 0.1742 0.0464 0.2904 1
O6 0.2533 0.5567 0.9233 1
O7 0.2963 0.2277 0.6659 1
O8 0.3200 0.9762 0.0298 1
O9 0.3364 0.3949 0.3989 1
O10 0.3726 0.2207 0.0348 1
O11 0.3741 0.7756 0.4660 1
O12 0.4109 0.5969 0.1019 1
O13 0.4279 0.0182 0.4742 1
O14 0.4477 0.7677 0.8351 1
O15 0.4883 0.4402 0.5760 1
O16 0.5739 0.9510 0.2121 1
O17 0.6287 0.6054 0.7016 1
O18 0.6526 0.1750 0.5574 1
O19 0.6785 0.0416 0.9592 1
O20 0.7377 0.6511 0.3367 1
O21 0.7573 0.8338 0.6902 1
O22 0.7753 0.1517 0.3117 1
O23 0.8166 0.5695 0.9154 1
O24 0.8179 0.8167 0.4321 1
O25 0.9254 0.4235 0.5865 1
O26 0.9300 0.1787 0.0706 1
O27 0.9728 0.8442 0.1913 1
O28 0.9896 0.1595 0.8125 1
```

Na3W4O12: computed PXRD pattern (Cu Ka), based on DFT lattice parameters and positions (GGA+U).

Largest 10 diffraction maxima, in order of falling intensity, 2θ from 10° to 90°:
d (Å)	2θ (°)	intensity	h k l
3.940	22.6	100	2 0 0
2.786	32.1	84	2 2 0
1.762	51.9	42	4 2 0
1.609	57.3	34	4 2 2
1.970	46.1	28	4 0 0
1.313	71.9	20	6 0 0
1.393	67.2	17	4 4 0
1.246	76.4	15	6 2 0
2.275	39.6	13	2 2 2
1.093	89.7	9	6 4 0

```
data_Na3W4O12
_chemical_formula_sum 'Na6 W8 O24'
_space_group_name_H-M_alt 'I m -3 m'
_space_group_IT_number 229
_space_group_name_Hall '-I 4 2 3'
_cell_length_a 7.8806
_cell_length_b 7.8806
_cell_length_c 7.8806
_cell_angle_alpha 90.00
_cell_angle_beta 90.00
_cell_angle_gamma 90.00
loop_
_atom_site_label
_atom_site_fract_x
_atom_site_fract_y
_atom_site_fract_z
_atom_site_occupancy
Na1 0.0000 0.0000 0.5000 1
W1 0.2500 0.2500 0.2500 1
O1 0.0000 0.2526 0.2526 1
```